ZrZn22: calculated X-ray diffraction stick pattern (Cu Ka), based on a DFT-relaxed cell (GGA-PBE, the Materials Project).

Largest 10 diffraction maxima, in order of rising 2θ, 5 to 70 degrees two-theta:
| 2θ/deg | I_rel |
| --- | --- |
| 37.57 | 100 |
| 38.12 | 18 |
| 40.27 | 51 |
| 41.82 | 89 |
| 42.33 | 97 |
| 44.31 | 29 |
| 45.75 | 31 |
| 55.01 | 19 |
| 65.58 | 20 |
| 68.90 | 25 |

```
ZrZn22
1.0
0.0000 7.0816 7.0816
7.0816 0.0000 7.0816
7.0816 7.0816 0.0000
Zr Zn
2 44
direct
0.1250 0.1250 0.1250 Zr
0.8750 0.8750 0.8750 Zr
0.0000 0.0000 0.0000 Zn
0.0000 0.0000 0.5000 Zn
0.0000 0.5000 0.0000 Zn
0.0000 0.5000 0.5000 Zn
0.0576 0.3191 0.3191 Zn
0.0576 0.3191 0.8042 Zn
0.0576 0.8042 0.3191 Zn
0.1958 0.6809 0.6809 Zn
0.1958 0.6809 0.9424 Zn
0.1958 0.9424 0.6809 Zn
0.2354 0.2354 0.5146 Zn
0.2354 0.5146 0.2354 Zn
0.2354 0.5146 0.5146 Zn
0.3191 0.0576 0.3191 Zn
0.3191 0.0576 0.8042 Zn
0.3191 0.3191 0.0576 Zn
0.3191 0.3191 0.8042 Zn
0.3191 0.8042 0.0576 Zn
0.3191 0.8042 0.3191 Zn
0.4854 0.4854 0.7646 Zn
0.4854 0.7646 0.4854 Zn
0.4854 0.7646 0.7646 Zn
0.5000 0.0000 0.0000 Zn
0.5000 0.0000 0.5000 Zn
0.5000 0.5000 0.0000 Zn
0.5000 0.5000 0.5000 Zn
0.5146 0.2354 0.2354 Zn
0.5146 0.2354 0.5146 Zn
0.5146 0.5146 0.2354 Zn
0.6809 0.1958 0.6809 Zn
0.6809 0.1958 0.9424 Zn
0.6809 0.6809 0.1958 Zn
0.6809 0.6809 0.9424 Zn
0.6809 0.9424 0.1958 Zn
0.6809 0.9424 0.6809 Zn
0.7646 0.4854 0.4854 Zn
0.7646 0.4854 0.7646 Zn
0.7646 0.7646 0.4854 Zn
0.8042 0.0576 0.3191 Zn
0.8042 0.3191 0.0576 Zn
0.8042 0.3191 0.3191 Zn
0.9424 0.1958 0.6809 Zn
0.9424 0.6809 0.1958 Zn
0.9424 0.6809 0.6809 Zn
```